[1]
For KAl3S2O14, the PBE geometry in the Materials Project gives the simulated PXRD pattern in this record (Cu Kα (λ = 1.5418 Å)).
Peak positions follow from Bragg's law for the DFT cell and can differ from measured ones.

Top 10 peaks for 2θ = 5–70°, sorted by position:
15.36 deg, I = 36; 17.44 deg, I = 81; 25.44 deg, I = 40; 28.68 deg, I = 12; 29.27 deg, I = 100; 29.85 deg, I = 27; 36.81 deg, I = 43; 47.28 deg, I = 44; 52.26 deg, I = 22; 58.00 deg, I = 24

Structure:
```
data_KAl3S2O14
_chemical_formula_sum 'K3 Al9 S6 O42'
_cell_length_a 7.0020
_cell_length_b 7.0020
_cell_length_c 18.6751
_cell_angle_alpha 90.00
_cell_angle_beta 90.00
_cell_angle_gamma 120.00
_space_group_name_H-M_alt 'R -3 m'
_space_group_IT_number 166
_space_group_name_Hall '-R 3 2"'
loop_
_atom_site_label
_atom_site_type_symbol
_atom_site_fract_x
_atom_site_fract_y
_atom_site_fract_z
K1 K 0.0000 0.0000 0.0000
Al1 Al 0.0000 0.5000 0.5000
S1 S 0.0000 0.0000 0.2990
O1 O 0.0000 0.0000 0.3757
O2 O 0.1013 0.5507 0.3973
O3 O 0.1055 0.5527 0.8083
```

[2]
For K2Al2Si3O10, the PBE geometry in the Materials Project gives the simulated PXRD pattern in this record (Cu Kα (λ = 1.5418 Å)).
Peak positions follow from Bragg's law for the DFT cell and can differ from measured ones.

Top 10 peaks for 2θ = 5–70°, sorted by position:
14.00 deg, I = 68; 15.04 deg, I = 49; 21.75 deg, I = 52; 22.69 deg, I = 65; 28.01 deg, I = 96; 28.50 deg, I = 83; 28.75 deg, I = 71; 29.50 deg, I = 88; 31.67 deg, I = 100; 32.57 deg, I = 69

Structure:
```
data_K2Al2Si3O10
_chemical_formula_sum 'K16 Al16 Si24 O80'
_cell_length_a 17.295
_cell_length_b 18.551
_cell_length_c 6.654
_cell_angle_alpha 90.00
_cell_angle_beta 90.00
_cell_angle_gamma 90.00
_space_group_name_H-M_alt 'F d d 2'
_space_group_IT_number 43
_space_group_name_Hall 'F 2 -2d'
loop_
_atom_site_label
_atom_site_type_symbol
_atom_site_fract_x
_atom_site_fract_y
_atom_site_fract_z
K1 K 0.041 0.187 0.000
Al1 Al 0.035 0.098 0.477
Si1 Si 0.000 0.000 0.859
Si2 Si 0.106 0.472 0.735
O1 O 0.028 0.069 0.729
O2 O 0.055 0.192 0.469
O3 O 0.055 0.415 0.864
O4 O 0.074 0.475 0.499
O5 O 0.106 0.052 0.331
```

[3]
For KAl3Si3O12, the PBE geometry in the Materials Project gives the simulated PXRD pattern in this record (Cu Kα (λ = 1.5418 Å)).
Peak positions follow from Bragg's law for the DFT cell and can differ from measured ones.

Top 10 peaks for 2θ = 5–70°, sorted by position:
8.64 deg, I = 54; 19.48 deg, I = 69; 22.33 deg, I = 42; 23.37 deg, I = 46; 24.82 deg, I = 57; 26.11 deg, I = 100; 27.43 deg, I = 45; 29.25 deg, I = 37; 34.43 deg, I = 51; 60.52 deg, I = 37

Structure:
```
data_KAl3Si3O12
_chemical_formula_sum 'K4 Al12 Si12 O48'
_cell_length_a 5.303
_cell_length_b 9.176
_cell_length_c 20.592
_cell_angle_alpha 90.00
_cell_angle_beta 96.53
_cell_angle_gamma 90.00
_space_group_name_H-M_alt 'C 1 c 1'
_space_group_IT_number 9
loop_
_space_group_symop_operation_xyz
'x,y,z'
'x,-y,z+1/2'
'x+1/2,y+1/2,z'
'x+1/2,-y+1/2,z+1/2'
loop_
_atom_site_label
_atom_site_type_symbol
_atom_site_fract_x
_atom_site_fract_y
_atom_site_fract_z
K1 K 0.000 0.098 0.000
Al1 Al 0.032 0.425 0.104
Al2 Al 0.210 0.410 0.736
Al3 Al 0.269 0.093 0.736
Si1 Si 0.045 0.246 0.602
Si2 Si 0.443 0.257 0.873
Si3 Si 0.459 0.072 0.373
O1 O 0.020 0.042 0.207
O2 O 0.023 0.451 0.189
O3 O 0.100 0.405 0.571
O4 O 0.126 0.249 0.683
O5 O 0.225 0.127 0.570
O6 O 0.228 0.175 0.395
O7 O 0.231 0.357 0.906
O8 O 0.249 0.295 0.083
O9 O 0.364 0.248 0.794
O10 O 0.435 0.092 0.905
O11 O 0.466 0.057 0.295
O12 O 0.474 0.465 0.273
```

[4]
For KAl3Si3O12, the PBE geometry in the Materials Project gives the simulated PXRD pattern in this record (Cu Kα (λ = 1.5418 Å)).
Peak positions follow from Bragg's law for the DFT cell and can differ from measured ones.

Top 10 peaks for 2θ = 5–70°, sorted by position:
8.65 deg, I = 46; 19.63 deg, I = 64; 22.64 deg, I = 55; 24.28 deg, I = 48; 26.14 deg, I = 100; 28.21 deg, I = 43; 30.42 deg, I = 55; 34.48 deg, I = 66; 54.42 deg, I = 32; 60.79 deg, I = 39

Structure:
```
data_KAl3Si3O12
_chemical_formula_sum 'K3 Al9 Si9 O36'
_cell_length_a 5.2791
_cell_length_b 5.2791
_cell_length_c 30.6818
_cell_angle_alpha 90.00
_cell_angle_beta 90.00
_cell_angle_gamma 120.00
_space_group_name_H-M_alt 'P 31'
_space_group_IT_number 144
loop_
_space_group_symop_operation_xyz
'x,y,z'
'-y,x-y,z+1/3'
'-x+y,-x,z+2/3'
loop_
_atom_site_label
_atom_site_type_symbol
_atom_site_fract_x
_atom_site_fract_y
_atom_site_fract_z
K1 K 0.2000 0.7982 0.0000
Al1 Al 0.2151 0.4396 0.8244
Al2 Al 0.5397 0.4549 0.0695
Al3 Al 0.5748 0.1504 0.8241
Si1 Si 0.2558 0.1192 0.5814
Si2 Si 0.2596 0.1461 0.7347
Si3 Si 0.5359 0.4493 0.9143
O1 O 0.0084 0.8162 0.7221
O2 O 0.0488 0.2564 0.5959
O3 O 0.1161 0.7901 0.6034
O4 O 0.1692 0.3743 0.7139
O5 O 0.2033 0.5120 0.1880
O6 O 0.2057 0.7015 0.1305
O7 O 0.2852 0.0997 0.5291
O8 O 0.3017 0.1977 0.7890
O9 O 0.4991 0.3959 0.8618
O10 O 0.4998 0.1003 0.4595
O11 O 0.5718 0.2159 0.7137
O12 O 0.5843 0.3230 0.6028
```